# 1
Diffraction record for Ba4CaCr4Cu2F28. The X-ray diffraction stick pattern is computed, not measured: it uses a structure optimized by DFT (PBE+U) and copper Kα.
Lines closer than 0.1° are merged.

Cell and atoms:
a = 5.4038 Å, b = 7.5778 Å, c = 15.0329 Å
α = 88.71°, β = 89.97°, γ = 69.12°
Fractional coordinates of all 39 atoms:
Ba 0.0000 0.0000 0.0000
Ba 0.1422 0.0092 0.5047
Ba 0.3627 0.2747 0.7529
Ba 0.5149 0.2619 0.2487
Ca 0.8359 0.6347 0.3758
Cr 0.1184 0.8768 0.7542
Cr 0.1601 0.8806 0.2516
Cr 0.3568 0.3968 0.9989
Cr 0.4003 0.3927 0.5008
Cu 0.7564 0.6370 0.1242
Cu 0.7602 0.6335 0.6276
F 0.0999 0.3937 0.9221
F 0.1063 0.1417 0.2264
F 0.1327 0.4659 0.1045
F 0.1350 0.3557 0.5794
F 0.1730 0.6501 0.4719
F 0.1856 0.6236 0.2801
F 0.2183 0.3167 0.4035
F 0.2785 0.9713 0.8456
F 0.3230 0.6351 0.7774
F 0.3266 0.6400 0.9772
F 0.3713 0.9126 0.6738
F 0.3815 0.8094 0.1457
F 0.4086 0.1448 0.0305
F 0.4380 0.8710 0.3359
F 0.5539 0.4619 0.6063
F 0.6052 0.1303 0.5255
F 0.6085 0.3022 0.9071
F 0.6435 0.7434 0.5128
F 0.6465 0.3603 0.0788
F 0.6675 0.4010 0.4158
F 0.7493 0.5263 0.2390
F 0.7652 0.7545 0.0164
F 0.8560 0.8863 0.8315
F 0.8556 0.9208 0.1739
F 0.8776 0.5189 0.7365
F 0.9055 0.9585 0.3495
F 0.9196 0.1312 0.7221
F 0.9622 0.8083 0.6488

Top 6 peaks for 2θ = 10–90°, low angle first:
| two_theta | d_spacing | Rel. int. |
| --- | --- | --- |
| 21.29 | 4.174 | 26 |
| 23.68 | 3.757 | 33 |
| 25.05 | 3.554 | 100 |
| 27.58 | 3.235 | 33 |
| 29.51 | 3.026 | 33 |
| 29.76 | 3.002 | 25 |


# 2
Diffraction record for Ba2CaCr2CuF14. The X-ray diffraction stick pattern is computed, not measured: it uses a structure optimized by DFT (PBE+U) and copper Kα.
Lines closer than 0.1° are merged.

Cell and atoms:
a = 7.5518 Å, b = 7.5518 Å, c = 15.0346 Å
α = 91.26°, β = 91.26°, γ = 42.08°
Fractional coordinates of all 40 atoms:
Ba 0.1175 0.2566 0.1219
Ba 0.2566 0.1175 0.6219
Ba 0.7434 0.8825 0.3781
Ba 0.8825 0.7434 0.8781
Ca 0.4219 0.5781 0.2500
Ca 0.5781 0.4219 0.7500
Cr 0.0992 0.1443 0.3749
Cr 0.1443 0.0992 0.8749
Cr 0.8557 0.9008 0.1251
Cr 0.9008 0.8557 0.6251
Cu 0.5000 0.5000 0.0000
Cu 0.5000 0.5000 0.5000
F 0.0352 0.6439 0.2220
F 0.0700 0.9153 0.3454
F 0.0847 0.9300 0.1546
F 0.1198 0.6013 0.0454
F 0.1288 0.7011 0.5196
F 0.1554 0.3494 0.4020
F 0.1760 0.5864 0.7098
F 0.2989 0.8712 0.9804
F 0.3494 0.1554 0.9020
F 0.3561 0.9648 0.2780
F 0.3848 0.5086 0.8853
F 0.3987 0.8802 0.4546
F 0.4136 0.8240 0.7902
F 0.4914 0.6152 0.6147
F 0.5086 0.3848 0.3853
F 0.5864 0.1760 0.2098
F 0.6013 0.1198 0.5454
F 0.6152 0.4914 0.1147
F 0.6439 0.0352 0.7220
F 0.6506 0.8446 0.0980
F 0.7011 0.1288 0.0196
F 0.8240 0.4136 0.2902
F 0.8446 0.6506 0.5980
F 0.8712 0.2989 0.4804
F 0.8802 0.3987 0.9546
F 0.9153 0.0700 0.8454
F 0.9300 0.0847 0.6546
F 0.9648 0.3561 0.7780

Top 6 peaks for 2θ = 10–90°, low angle first:
| two_theta | d_spacing | Rel. int. |
| --- | --- | --- |
| 23.68 | 3.758 | 25 |
| 25.08 | 3.551 | 100 |
| 26.62 | 3.348 | 24 |
| 29.49 | 3.029 | 32 |
| 29.73 | 3.005 | 28 |
| 48.47 | 1.878 | 24 |


# 3
Diffraction record for BaCaCrF7. The X-ray diffraction stick pattern is computed, not measured: it uses a structure optimized by DFT (PBE+U) and copper Kα.
Lines closer than 0.1° are merged.

Cell and atoms:
a = 5.7817 Å, b = 10.4814 Å, c = 10.0693 Å
α = 90.00°, β = 92.35°, γ = 90.00°
Fractional coordinates of all 40 atoms:
Ba 0.2399 0.1664 0.4965
Ba 0.2399 0.3336 0.9965
Ba 0.7601 0.6664 0.0035
Ba 0.7601 0.8336 0.5035
Ca 0.2001 0.5957 0.3181
Ca 0.2001 0.9043 0.8181
Ca 0.7999 0.0957 0.1819
Ca 0.7999 0.4043 0.6819
Cr 0.3108 0.6199 0.6890
Cr 0.3108 0.8801 0.1890
Cr 0.6892 0.1199 0.8110
Cr 0.6892 0.3801 0.3110
F 0.0307 0.7016 0.7570
F 0.0307 0.7984 0.2570
F 0.1051 0.5419 0.1152
F 0.1051 0.9581 0.6152
F 0.1599 0.0381 0.1306
F 0.1599 0.4619 0.6306
F 0.2247 0.7003 0.5182
F 0.2247 0.7997 0.0182
F 0.4008 0.0729 0.8880
F 0.4008 0.4271 0.3880
F 0.4057 0.5411 0.8577
F 0.4057 0.9589 0.3577
F 0.4855 0.7281 0.2489
F 0.4855 0.7719 0.7489
F 0.5145 0.2281 0.2511
F 0.5145 0.2719 0.7511
F 0.5943 0.0411 0.6423
F 0.5943 0.4589 0.1423
F 0.5992 0.5729 0.6120
F 0.5992 0.9271 0.1120
F 0.7753 0.2003 0.9818
F 0.7753 0.2997 0.4818
F 0.8401 0.5381 0.3694
F 0.8401 0.9619 0.8694
F 0.8949 0.0419 0.3848
F 0.8949 0.4581 0.8848
F 0.9693 0.2016 0.7430
F 0.9693 0.2984 0.2430

Top 6 peaks for 2θ = 10–90°, low angle first:
| two_theta | d_spacing | Rel. int. |
| --- | --- | --- |
| 24.35 | 3.655 | 100 |
| 24.51 | 3.632 | 58 |
| 24.81 | 3.588 | 32 |
| 25.41 | 3.505 | 73 |
| 27.93 | 3.194 | 36 |
| 38.94 | 2.313 | 46 |


Repeat the second record exactly.
Diffraction record for Ba2CaCr2CuF14. The X-ray diffraction stick pattern is computed, not measured: it uses a structure optimized by DFT (PBE+U) and copper Kα.
Lines closer than 0.1° are merged.

Cell and atoms:
a = 7.5518 Å, b = 7.5518 Å, c = 15.0346 Å
α = 91.26°, β = 91.26°, γ = 42.08°
Fractional coordinates of all 40 atoms:
Ba 0.1175 0.2566 0.1219
Ba 0.2566 0.1175 0.6219
Ba 0.7434 0.8825 0.3781
Ba 0.8825 0.7434 0.8781
Ca 0.4219 0.5781 0.2500
Ca 0.5781 0.4219 0.7500
Cr 0.0992 0.1443 0.3749
Cr 0.1443 0.0992 0.8749
Cr 0.8557 0.9008 0.1251
Cr 0.9008 0.8557 0.6251
Cu 0.5000 0.5000 0.0000
Cu 0.5000 0.5000 0.5000
F 0.0352 0.6439 0.2220
F 0.0700 0.9153 0.3454
F 0.0847 0.9300 0.1546
F 0.1198 0.6013 0.0454
F 0.1288 0.7011 0.5196
F 0.1554 0.3494 0.4020
F 0.1760 0.5864 0.7098
F 0.2989 0.8712 0.9804
F 0.3494 0.1554 0.9020
F 0.3561 0.9648 0.2780
F 0.3848 0.5086 0.8853
F 0.3987 0.8802 0.4546
F 0.4136 0.8240 0.7902
F 0.4914 0.6152 0.6147
F 0.5086 0.3848 0.3853
F 0.5864 0.1760 0.2098
F 0.6013 0.1198 0.5454
F 0.6152 0.4914 0.1147
F 0.6439 0.0352 0.7220
F 0.6506 0.8446 0.0980
F 0.7011 0.1288 0.0196
F 0.8240 0.4136 0.2902
F 0.8446 0.6506 0.5980
F 0.8712 0.2989 0.4804
F 0.8802 0.3987 0.9546
F 0.9153 0.0700 0.8454
F 0.9300 0.0847 0.6546
F 0.9648 0.3561 0.7780

Top 6 peaks for 2θ = 10–90°, low angle first:
| two_theta | d_spacing | Rel. int. |
| --- | --- | --- |
| 23.68 | 3.758 | 25 |
| 25.08 | 3.551 | 100 |
| 26.62 | 3.348 | 24 |
| 29.49 | 3.029 | 32 |
| 29.73 | 3.005 | 28 |
| 48.47 | 1.878 | 24 |